Record 1
Simulated XRD peak list of LiMn9Se10 for Cu Ka, from a DFT-relaxed cell (PBE, Alexandria).

The 8 most intense peaks (2θ = 10–80°), sorted by position:
Position (°2θ)	Rel. int.
28.7	9
33.3	100
47.8	69
59.5	23
69.9	7
70.1	3
79.6	17
79.8	10

Crystal structure
```
data_LiMn9Se10
_symmetry_space_group_name_H-M 'P -1'
_symmetry_Int_Tables_number 2
_cell_length_a 6.5892
_cell_length_b 7.6154
_cell_length_c 8.4957
_cell_angle_alpha 102.96
_cell_angle_beta 97.33
_cell_angle_gamma 106.75
loop_
_symmetry_equiv_pos_as_xyz
'x,y,z'
'-x,-y,-z'
loop_
_atom_site_label
_atom_site_type_symbol
_atom_site_fract_x
_atom_site_fract_y
_atom_site_fract_z
_atom_site_occupancy
Li1 Li 0.0000 0.0000 0.0000 1
Mn1 Mn 0.0000 0.5000 0.0000 1
Mn2 Mn 0.1977 0.3970 0.3981 1
Mn3 Mn 0.1992 0.9016 0.3993 1
Mn4 Mn 0.4012 0.2998 0.8019 1
Mn5 Mn 0.4021 0.8026 0.8037 1
Se1 Se 0.1002 0.4513 0.7003 1
Se2 Se 0.1027 0.9486 0.6949 1
Se3 Se 0.3026 0.3549 0.1027 1
Se4 Se 0.3026 0.8479 0.1015 1
Se5 Se 0.4986 0.7487 0.5019 1
```

=====

Record 2
Simulated XRD peak list of U6Au for Cu Ka, from a DFT-relaxed cell (PBE, Alexandria).

The 8 most intense peaks (2θ = 10–80°), sorted by position:
Position (°2θ)	Rel. int.
17.7	29
25.1	42
30.9	100
44.2	41
47.9	61
51.5	35
73.0	18
75.8	24

Crystal structure
```
data_U6Au
_symmetry_space_group_name_H-M 'I m -3 m'
_symmetry_Int_Tables_number 229
_symmetry_space_group_name_Hall '-I 4 2 3'
_cell_length_a 7.0997
_cell_length_b 7.0997
_cell_length_c 7.0997
_cell_angle_alpha 90.00
_cell_angle_beta 90.00
_cell_angle_gamma 90.00
loop_
_atom_site_label
_atom_site_type_symbol
_atom_site_fract_x
_atom_site_fract_y
_atom_site_fract_z
_atom_site_occupancy
U1 U 0.0000 0.2500 0.5000 1
Au1 Au 0.0000 0.0000 0.0000 1
```

=====

Record 3
Simulated XRD peak list of AgSn3Cl7 for Cu Ka, from a DFT-relaxed cell (PBE, Alexandria).

The 8 most intense peaks (2θ = 10–80°), sorted by position:
Position (°2θ)	Rel. int.
14.2	35
19.3	47
20.7	35
21.9	100
22.5	58
31.5	28
34.0	39
35.1	40

Crystal structure
```
data_AgSn3Cl7
_symmetry_space_group_name_H-M 'P 1 21 1'
_symmetry_Int_Tables_number 4
_cell_length_a 8.2022
_cell_length_b 10.1247
_cell_length_c 8.9176
_cell_angle_alpha 90.00
_cell_angle_beta 105.57
_cell_angle_gamma 90.00
loop_
_symmetry_equiv_pos_as_xyz
'x,y,z'
'-x,y+1/2,-z'
loop_
_atom_site_label
_atom_site_type_symbol
_atom_site_fract_x
_atom_site_fract_y
_atom_site_fract_z
_atom_site_occupancy
Ag1 Ag 0.0099 0.0000 0.0557 1
Sn1 Sn 0.0029 0.2741 0.5716 1
Sn2 Sn 0.3852 0.4650 0.4021 1
Sn3 Sn 0.4113 0.2001 0.9880 1
Cl1 Cl 0.0691 0.5137 0.6705 1
Cl2 Cl 0.0720 0.2361 0.9223 1
Cl3 Cl 0.0776 0.3642 0.3121 1
Cl4 Cl 0.3167 0.1974 0.6509 1
Cl5 Cl 0.3191 0.5436 0.1147 1
Cl6 Cl 0.3343 0.9693 0.0685 1
Cl7 Cl 0.4595 0.7652 0.6637 1
```